(1)
Theoretical powder X-ray diffraction pattern of Hg5H2Pb3 for Cu Kα, from a cell relaxed with GGA-PBE.

Structural model:
```
data_Hg5H2Pb3
_symmetry_space_group_name_H-M 'P -1'
_symmetry_Int_Tables_number 2
_symmetry_space_group_name_Hall '-P 1'
_cell_length_a 5.851
_cell_length_b 6.315
_cell_length_c 14.317
_cell_angle_alpha 78.98
_cell_angle_beta 81.58
_cell_angle_gamma 70.52
loop_
_atom_site_label
_atom_site_type_symbol
_atom_site_fract_x
_atom_site_fract_y
_atom_site_fract_z
_atom_site_occupancy
Hg1 Hg 0.003 0.132 0.156 1
Hg2 Hg 0.033 0.304 0.936 1
Hg3 Hg 0.053 0.513 0.708 1
Hg4 Hg 0.471 0.014 0.734 1
Hg5 Hg 0.485 0.806 0.948 1
H1 H 0.204 0.247 0.508 1
H2 H 0.332 0.674 0.469 1
Pb1 Pb 0.038 0.882 0.386 1
Pb2 Pb 0.446 0.603 0.168 1
Pb3 Pb 0.451 0.337 0.410 1
```

The 10 most intense peaks (2θ from 10° to 80°), by angle:
- 2θ 29.15, I = 57.0
- 2θ 31.13, I = 100.0
- 2θ 32.47, I = 38.4
- 2θ 32.60, I = 79.4
- 2θ 33.53, I = 50.8
- 2θ 34.55, I = 27.8
- 2θ 36.67, I = 55.4
- 2θ 36.91, I = 34.6
- 2θ 39.28, I = 22.5
- 2θ 40.57, I = 30.0

(2)
Theoretical powder X-ray diffraction pattern of HgH2Pd9Pb3 for Cu Kα, from a cell relaxed with GGA-PBE.

Structural model:
```
data_HgH2Pd9Pb3
_symmetry_space_group_name_H-M 'P -3 m 1'
_symmetry_Int_Tables_number 164
_symmetry_space_group_name_Hall '-P 3 2"'
_cell_length_a 5.7150
_cell_length_b 5.7150
_cell_length_c 9.2834
_cell_angle_alpha 90.00
_cell_angle_beta 90.00
_cell_angle_gamma 120.00
loop_
_atom_site_label
_atom_site_type_symbol
_atom_site_fract_x
_atom_site_fract_y
_atom_site_fract_z
_atom_site_occupancy
Hg1 Hg 0.0000 0.0000 0.0000 1
H1 H 0.3333 0.6667 0.6404 1
Pd1 Pd 0.0000 0.5000 0.5000 1
Pd2 Pd 0.1674 0.3347 0.7568 1
Pb1 Pb 0.0000 0.0000 0.5000 1
Pb2 Pb 0.3333 0.6667 0.1976 1
```

The 10 most intense peaks (2θ from 10° to 80°), by angle:
- 2θ 26.32, I = 34.5
- 2θ 28.85, I = 16.0
- 2θ 31.30, I = 16.4
- 2θ 37.62, I = 81.3
- 2θ 38.80, I = 27.7
- 2θ 41.35, I = 100.0
- 2θ 43.05, I = 15.4
- 2θ 47.02, I = 25.8
- 2θ 65.31, I = 26.7
- 2θ 78.64, I = 21.1

(3)
Theoretical powder X-ray diffraction pattern of TlHgHPb2 for Cu Kα, from a cell relaxed with GGA-PBE.

Structural model:
```
data_TlHgHPb2
_symmetry_space_group_name_H-M 'P 4/m m m'
_symmetry_Int_Tables_number 123
_symmetry_space_group_name_Hall '-P 4 2'
_cell_length_a 4.897
_cell_length_b 4.897
_cell_length_c 5.170
_cell_angle_alpha 90.00
_cell_angle_beta 90.00
_cell_angle_gamma 90.00
loop_
_atom_site_label
_atom_site_type_symbol
_atom_site_fract_x
_atom_site_fract_y
_atom_site_fract_z
_atom_site_occupancy
Tl1 Tl 0.000 0.000 0.000 1
Hg1 Hg 0.500 0.500 0.000 1
H1 H 0.000 0.000 0.500 1
Pb1 Pb 0.000 0.500 0.500 1
```

The 10 most intense peaks (2θ from 10° to 80°), by angle:
- 2θ 31.08, I = 100.0
- 2θ 34.70, I = 18.9
- 2θ 36.70, I = 32.6
- 2θ 51.40, I = 25.4
- 2θ 52.88, I = 11.7
- 2θ 59.95, I = 16.0
- 2θ 62.62, I = 28.2
- 2θ 64.81, I = 12.8
- 2θ 73.23, I = 2.3
- 2θ 78.06, I = 3.9

(4)
Theoretical powder X-ray diffraction pattern of HgH4Pd4 for Cu Kα, from a cell relaxed with GGA-PBE.

Structural model:
```
data_HgH4Pd4
_symmetry_space_group_name_H-M 'I 4/m'
_symmetry_Int_Tables_number 87
_symmetry_space_group_name_Hall '-I 4'
_cell_length_a 7.576
_cell_length_b 7.576
_cell_length_c 3.332
_cell_angle_alpha 90.00
_cell_angle_beta 90.00
_cell_angle_gamma 90.00
loop_
_atom_site_label
_atom_site_type_symbol
_atom_site_fract_x
_atom_site_fract_y
_atom_site_fract_z
_atom_site_occupancy
Hg1 Hg 0.000 0.000 0.000 1
H1 H 0.148 0.690 0.500 1
Pd1 Pd 0.095 0.292 0.500 1
```

The 10 most intense peaks (2θ from 10° to 80°), by angle:
- 2θ 16.55, I = 9.3
- 2θ 23.48, I = 3.1
- 2θ 29.28, I = 2.8
- 2θ 37.54, I = 49.9
- 2θ 37.87, I = 100.0
- 2θ 51.41, I = 2.5
- 2θ 54.14, I = 17.6
- 2θ 55.13, I = 8.3
- 2θ 67.96, I = 33.8
- 2θ 68.61, I = 16.8